Theoretical PXRD pattern of Mn3Te2Se for Cu Kα (λ = 1.5418 Å), from a PBE-relaxed structure.

Lattice parameters (Å, degrees): 3.9912 5.6830 12.0265 90.00 90.00 90.00
Space group Immm (No. 71)
Symmetry-distinct sites (fractional):
Mn  0.0000  0.0000  0.0000 (multiplicity 2)
Mn  0.0000  0.0000  0.3501 (multiplicity 4)
Te  0.0000  0.5000  0.3308 (multiplicity 4)
Se  0.0000  0.5000  0.0000 (multiplicity 2)

Peak list (10 most intense, 10° ≤ 2θ ≤ 80°, low angle first)
hkl	2theta	intensity
0 1 3	27.3	31
0 2 0	31.5	52
1 0 3	31.6	100
1 2 3	45.2	89
2 0 0	45.5	18
0 2 6	56.2	17
2 2 0	56.3	19
2 0 6	66.1	10
1 4 3	74.8	15
2 2 6	75.0	21


Theoretical PXRD pattern of MnZnSe2 for Cu Kα (λ = 1.5418 Å), from a PBE-relaxed structure.

Lattice parameters (Å, degrees): 4.1265 4.1265 20.1565 90.00 90.00 120.00
Space group R3m (No. 160, hexagonal axes)
Symmetry-distinct sites (fractional):
Mn  0.0000  0.0000  0.0000 (multiplicity 3)
Zn  0.0000  0.0000  0.5002 (multiplicity 3)
Se  0.0000  0.0000  0.3771 (multiplicity 3)
Se  0.0000  0.0000  0.8740 (multiplicity 3)

Peak list (10 most intense, 10° ≤ 2θ ≤ 80°, low angle first)
hkl	2theta	intensity
0 0 3	13.2	1
0 1 2	26.5	100
1 0 4	30.7	1
1 1 0	43.9	73
2 0 2	52.0	33
1 0 10	52.1	11
2 0 8	63.9	11
1 2 2	70.3	9
0 2 10	70.4	4
0 1 14	70.5	4


Theoretical PXRD pattern of Mn2ZnSe4 for Cu Kα (λ = 1.5418 Å), from a PBE-relaxed structure.

Lattice parameters (Å, degrees): 10.7025 10.7025 10.7025 90.00 90.00 90.00
Space group Fd-3m (No. 227, origin choice 2)
Symmetry-distinct sites (fractional):
Mn  0.0000  0.0000  0.0000 (multiplicity 16)
Zn  0.1250  0.1250  0.6250 (multiplicity 8)
Se  0.0090  0.0090  0.2410 (multiplicity 32)

Peak list (10 most intense, 10° ≤ 2θ ≤ 80°, low angle first)
hkl	2theta	intensity
2 2 0	23.5	17
3 1 1	27.6	39
2 2 2	28.9	48
4 0 0	33.5	75
5 1 1	44.0	32
4 4 0	48.1	100
6 2 2	57.1	18
4 4 4	59.9	16
5 5 3	67.2	8
8 0 0	70.4	14


Theoretical PXRD pattern of MnZn4Se5 for Cu Kα (λ = 1.5418 Å), from a PBE-relaxed structure.

Lattice parameters (Å, degrees): 13.5378 4.0819 10.0008 90.00 119.47 90.00
Space group Cm (No. 8)
Symmetry-distinct sites (fractional):
Mn  0.0000  0.0000  0.0000 (multiplicity 2)
Zn  0.1002  0.5000  0.4010 (multiplicity 2)
Zn  0.1985  0.0000  0.7980 (multiplicity 2)
Zn  0.3001  0.5000  0.2004 (multiplicity 2)
Zn  0.3991  0.0000  0.5974 (multiplicity 2)
Se  0.0002  0.0000  0.2533 (multiplicity 2)
Se  0.0991  0.5000  0.6500 (multiplicity 2)
Se  0.2025  0.0000  0.0500 (multiplicity 2)
Se  0.2991  0.5000  0.4485 (multiplicity 2)
Se  0.3964  0.0000  0.8440 (multiplicity 2)

Peak list (6 most intense, 10° ≤ 2θ ≤ 80°, low angle first)
hkl	2theta	intensity
1 1 1	26.7	100
3 1 -2	31.0	1
0 2 0	44.4	74
6 0 1	52.6	44
6 2 -4	64.6	11
1 3 1	71.2	17


Theoretical PXRD pattern of MnZn4Se5 for Cu Kα (λ = 1.5418 Å), from a PBE-relaxed structure.

Lattice parameters (Å, degrees): 4.0872 4.0872 49.9770 90.00 90.00 120.00
Space group R3m (No. 160, hexagonal axes)
Symmetry-distinct sites (fractional):
Mn  0.0000  0.0000  0.0000 (multiplicity 3)
Zn  0.0000  0.0000  0.2002 (multiplicity 3)
Zn  0.0000  0.0000  0.4004 (multiplicity 3)
Zn  0.0000  0.0000  0.5999 (multiplicity 3)
Zn  0.0000  0.0000  0.8002 (multiplicity 3)
Se  0.0000  0.0000  0.1502 (multiplicity 3)
Se  0.0000  0.0000  0.3510 (multiplicity 3)
Se  0.0000  0.0000  0.5501 (multiplicity 3)
Se  0.0000  0.0000  0.7502 (multiplicity 3)
Se  0.0000  0.0000  0.9495 (multiplicity 3)

Peak list (7 most intense, 10° ≤ 2θ ≤ 80°, low angle first)
hkl	2theta	intensity
0 1 5	26.7	100
1 0 10	31.0	1
1 1 0	44.4	74
1 0 25	52.5	44
2 0 20	64.5	12
0 2 25	71.1	13
0 1 35	71.2	4


Theoretical PXRD pattern of MnZnSe2 for Cu Kα (λ = 1.5418 Å), from a PBE-relaxed structure.

Lattice parameters (Å, degrees): 4.1247 4.1247 6.7370 90.00 90.00 120.00
Space group P3m1 (No. 156)
Symmetry-distinct sites (fractional):
Mn  0.0000  0.0000  0.0000 (multiplicity 1)
Zn  0.3333  0.6667  0.5004 (multiplicity 1)
Se  0.0000  0.0000  0.6213 (multiplicity 1)
Se  0.3333  0.6667  0.1314 (multiplicity 1)

Peak list (10 most intense, 10° ≤ 2θ ≤ 80°, low angle first)
hkl	2theta	intensity
1 0 0	24.9	100
0 0 2	26.5	57
1 0 1	28.3	69
1 0 2	36.7	35
1 1 0	43.9	84
1 0 3	47.8	84
2 0 0	51.1	13
1 1 2	52.0	50
0 2 3	66.9	29
1 0 5	75.4	20


Theoretical PXRD pattern of Mn5Si2 for Cu Kα (λ = 1.5418 Å), from a PBE-relaxed structure.

Lattice parameters (Å, degrees): 8.7397 8.7397 8.5512 90.00 90.00 90.00
Space group P4_32_12 (No. 96)
Symmetry-distinct sites (fractional):
Mn  0.0092  0.3980  0.0742 (multiplicity 8)
Mn  0.0432  0.8693  0.5360 (multiplicity 8)
Mn  0.0462  0.9538  0.2500 (multiplicity 4)
Mn  0.0798  0.6864  0.0810 (multiplicity 8)
Mn  0.1365  0.1365  0.5000 (multiplicity 4)
Mn  0.1736  0.2237  0.8474 (multiplicity 8)
Si  0.0325  0.7650  0.7984 (multiplicity 8)
Si  0.1158  0.6924  0.3516 (multiplicity 8)

Peak list (10 most intense, 10° ≤ 2θ ≤ 80°, low angle first)
hkl	2theta	intensity
2 1 3	39.1	29
4 1 0	42.7	78
1 0 4	43.6	55
4 1 1	44.0	99
1 1 4	44.9	29
3 3 1	45.3	100
3 1 3	45.7	82
4 0 2	46.7	32
4 1 2	47.9	47
3 2 3	49.4	66